1.
For NaMg4Ag3As4, the GGA-PBE geometry in Alexandria gives the computed powder diffractogram in this record (a wavelength of 1.5418 Å).
Kinematic intensities with the Lorentz-polarization factor, no thermal factor.

Most intense lines, 2θ from 10° to 80°, most intense first:
2theta, d/Å, I/Imax, hkl
24.14, 3.687, 100.0, 1 0 1
42.97, 2.105, 92.0, 1 2 2
34.40, 2.607, 74.6, 2 0 0
36.78, 2.444, 59.5, 0 4 0
44.47, 2.037, 50.7, 1 4 1
24.97, 3.567, 50.4, 0 2 1
51.24, 1.783, 35.5, 2 4 0
67.55, 1.387, 23.5, 3 2 2
19.29, 4.601, 19.7, 1 1 0
17.00, 5.215, 19.3, 0 0 1

Structure:
Cell lengths 5.2134, 9.7767, 5.2155 Å; angles 90.00, 90.00, 90.00 degrees
Space group Pmm2 (No. 25)
Asymmetric unit:
Na 0.0000 0.0000 0.0000 [1 per cell]
Mg 0.0000 0.3316 0.8800 [2 per cell]
Mg 0.5000 0.0000 0.3891 [1 per cell]
Mg 0.5000 0.5000 0.4144 [1 per cell]
Ag 0.0000 0.5000 0.3165 [1 per cell]
Ag 0.5000 0.2448 0.6738 [2 per cell]
As 0.0000 0.2381 0.3925 [2 per cell]
As 0.5000 0.0000 0.8947 [1 per cell]
As 0.5000 0.5000 0.9157 [1 per cell]

2.
For Ac2CoBr2, the GGA-PBE geometry in Alexandria gives the computed powder diffractogram in this record (a wavelength of 1.5418 Å).
Kinematic intensities with the Lorentz-polarization factor, no thermal factor.

Most intense lines, 2θ from 10° to 80°, most intense first:
2theta, d/Å, I/Imax, hkl
26.28, 3.391, 100.0, 1 0 4
32.05, 2.793, 77.7, 0 1 8
42.37, 2.133, 45.9, 1 1 0
27.45, 3.249, 26.2, 0 1 5
35.82, 2.507, 26.1, 1 0 10
65.91, 1.417, 17.8, 1 1 18
54.09, 1.695, 17.8, 2 0 8
50.55, 1.806, 17.2, 0 2 4
71.02, 1.327, 15.8, 1 2 8
53.71, 1.707, 15.5, 1 1 12

Structure:
Cell lengths 4.2667, 4.2667, 34.1246 Å; angles 90.00, 90.00, 120.00 degrees
Space group R-3m (No. 166, hexagonal axes)
Asymmetric unit:
Ac 0.0000 0.0000 0.1172 [6 per cell]
Co 0.0000 0.0000 0.5000 [3 per cell]
Br 0.0000 0.0000 0.3894 [6 per cell]

3.
For SiIr3, the GGA-PBE geometry in Alexandria gives the computed powder diffractogram in this record (a wavelength of 1.5418 Å).
Kinematic intensities with the Lorentz-polarization factor, no thermal factor.

Most intense lines, 2θ from 10° to 80°, most intense first:
2theta, d/Å, I/Imax, hkl
42.14, 2.144, 100.0, 0 1 2
40.03, 2.252, 73.6, 1 1 0
40.53, 2.226, 56.2, 1 1 -1
45.98, 1.974, 39.7, 0 2 0
42.31, 2.136, 37.2, 1 0 -2
40.84, 2.210, 33.1, 1 0 1
28.58, 3.124, 28.9, 0 1 1
64.25, 1.450, 21.9, 1 2 -2
17.36, 5.108, 21.5, 0 0 1
63.16, 1.472, 18.6, 1 2 1

Structure:
Cell lengths 2.8216, 3.9477, 5.2552 Å; angles 90.00, 103.59, 90.00 degrees
Space group P2/m (No. 10)
Asymmetric unit:
Si 0.0000 0.0000 0.0000 [1 per cell]
Ir 0.0000 0.0000 0.5000 [1 per cell]
Ir 0.3675 0.5000 0.2374 [2 per cell]

4.
For Li3CuF6, the GGA-PBE geometry in Alexandria gives the computed powder diffractogram in this record (a wavelength of 1.5418 Å).
Kinematic intensities with the Lorentz-polarization factor, no thermal factor.

Most intense lines, 2θ from 10° to 80°, most intense first:
2theta, d/Å, I/Imax, hkl
20.67, 4.297, 100.0, 1 1 1
23.91, 3.721, 74.8, 2 0 0
40.19, 2.244, 41.6, 3 1 1
38.24, 2.353, 33.1, 3 0 1
55.19, 1.664, 33.0, 4 2 0
60.99, 1.519, 31.2, 4 2 2
48.96, 1.861, 23.0, 4 0 0
45.61, 1.989, 21.8, 3 1 2
34.07, 2.631, 20.7, 2 2 0
53.68, 1.707, 16.8, 3 3 1

Structure:
Cell lengths 7.4424, 7.4424, 7.4424 Å; angles 90.00, 90.00, 90.00 degrees
Space group Pn-3 (No. 201, origin choice 2)
Asymmetric unit:
Li 0.0000 0.0000 0.0000 [4 per cell]
Li 0.2500 0.2500 0.2500 [2 per cell]
Li 0.2500 0.2500 0.7500 [6 per cell]
Cu 0.0000 0.0000 0.5000 [4 per cell]
F 0.0538 0.5693 0.7573 [24 per cell]